[1]
This entry pairs a crystal structure of Ho2ErAl3Ge2Au with its computed powder X-ray diffraction pattern. Radiation: Cu Kα (weighted mean of Kα1 and Kα2). Structure: the PBE geometry in OQMD.
Lines closer than 0.1° are merged.

Crystal structure
Cell: 4.2324 7.0304 7.0304 Å, 119.98 90.00 90.00°
Fractional coordinates of all 9 atoms:
Ho (0.0000, 0.2064, 0.7936)
Ho (0.0000, 0.7936, 0.2064)
Er (0.0000, 0.6193, 0.6193)
Al (0.5000, 0.2067, 0.4460)
Al (0.5000, 0.4460, 0.2067)
Al (0.5000, 0.9672, 0.9672)
Ge (0.5000, 0.5401, 0.8725)
Ge (0.5000, 0.8725, 0.5401)
Au (0.0000, 0.2077, 0.2077)

Main lines, sorted by position (2θ from 5° to 70°):
20.99°, 4.232 Å, I 36
25.34°, 3.515 Å, I 28
29.34°, 3.044 Å, I 39
33.13°, 2.704 Å, I 52
36.35°, 2.472 Å, I 100
39.14°, 2.301 Å, I 17
42.73°, 2.116 Å, I 24
44.65°, 2.030 Å, I 23
44.83°, 2.022 Å, I 27
52.67°, 1.738 Å, I 16
58.88°, 1.569 Å, I 20
63.51°, 1.465 Å, I 16

=====

[2]
This entry pairs a crystal structure of Er3Mg3Al2Au with its computed powder X-ray diffraction pattern. Radiation: Cu Kα (weighted mean of Kα1 and Kα2). Structure: the PBE geometry in OQMD.
Lines closer than 0.1° are merged.

Crystal structure
Cell: 7.4170 7.4170 4.3151 Å, 90.00 90.00 120.00°
Fractional coordinates of all 9 atoms:
Er (0.0000, 0.4127, 0.0000)
Er (0.4127, 0.0000, 0.0000)
Er (0.5873, 0.5873, 0.0000)
Mg (0.0000, 0.7556, 0.5000)
Mg (0.2444, 0.2444, 0.5000)
Mg (0.7556, 0.0000, 0.5000)
Al (0.3333, 0.6667, 0.5000)
Al (0.6667, 0.3333, 0.5000)
Au (0.0000, 0.0000, 0.0000)

Main lines, sorted by position (2θ from 5° to 70°):
20.58°, 4.315 Å, I 59
24.00°, 3.708 Å, I 29
27.78°, 3.212 Å, I 59
31.82°, 2.813 Å, I 55
34.82°, 2.576 Å, I 100
37.03°, 2.428 Å, I 23
41.87°, 2.158 Å, I 21
42.21°, 2.141 Å, I 20
42.74°, 2.116 Å, I 25
50.99°, 1.791 Å, I 23
55.83°, 1.647 Å, I 25
67.12°, 1.395 Å, I 23

=====

[3]
This entry pairs a crystal structure of ErAlPtAu with its computed powder X-ray diffraction pattern. Radiation: Cu Kα (weighted mean of Kα1 and Kα2). Structure: the PBE geometry in OQMD.
Lines closer than 0.1° are merged.

Crystal structure
Cell: 4.4214 4.4214 9.0888 Å, 90.00 90.00 120.00°
Fractional coordinates of all 8 atoms:
Er (0.0000, 0.0000, 0.0000)
Er (0.3333, 0.6667, 0.5000)
Al (0.6667, 0.3333, 0.2749)
Al (0.6667, 0.3333, 0.7251)
Pt (0.0000, 0.0000, 0.3292)
Pt (0.0000, 0.0000, 0.6708)
Au (0.3333, 0.6667, 0.1635)
Au (0.3333, 0.6667, 0.8365)

Main lines, sorted by position (2θ from 5° to 70°):
19.53°, 4.544 Å, I 1
23.23°, 3.829 Å, I 47
25.24°, 3.529 Å, I 1
37.87°, 2.376 Å, I 100
40.82°, 2.211 Å, I 60
45.64°, 1.988 Å, I 1
46.47°, 1.954 Å, I 1
47.49°, 1.915 Å, I 7
56.89°, 1.618 Å, I 31
61.18°, 1.515 Å, I 5
64.37°, 1.447 Å, I 6
66.36°, 1.409 Å, I 7

=====

[4]
This entry pairs a crystal structure of ErAlPtAu with its computed powder X-ray diffraction pattern. Radiation: Cu Kα (weighted mean of Kα1 and Kα2). Structure: the PBE geometry in OQMD.
Lines closer than 0.1° are merged.

Crystal structure
Cell: 4.4214 4.4214 9.1113 Å, 90.00 90.00 120.00°
Fractional coordinates of all 8 atoms:
Er (0.3333, 0.6667, 0.2609)
Er (0.6667, 0.3333, 0.7391)
Al (0.0000, 0.0000, 0.0000)
Al (0.0000, 0.0000, 0.5000)
Pt (0.3333, 0.6667, 0.5822)
Pt (0.6667, 0.3333, 0.4178)
Au (0.3333, 0.6667, 0.9135)
Au (0.6667, 0.3333, 0.0865)

Main lines, sorted by position (2θ from 5° to 70°):
19.49°, 4.556 Å, I 1
23.23°, 3.829 Å, I 47
25.23°, 3.530 Å, I 1
30.50°, 2.931 Å, I 1
37.81°, 2.379 Å, I 100
40.82°, 2.211 Å, I 60
46.38°, 1.958 Å, I 1
47.49°, 1.915 Å, I 7
56.85°, 1.620 Å, I 31
61.02°, 1.519 Å, I 5
64.37°, 1.447 Å, I 6
66.20°, 1.412 Å, I 8

=====

[5]
This entry pairs a crystal structure of Al3GaAu2 with its computed powder X-ray diffraction pattern. Radiation: Cu Kα (weighted mean of Kα1 and Kα2). Structure: the PBE geometry in OQMD.
Lines closer than 0.1° are merged.

Crystal structure
Cell: 4.3023 4.3023 6.0725 Å, 90.00 90.00 90.00°
Fractional coordinates of all 6 atoms:
Al (0.0000, 0.0000, 0.0000)
Al (0.0000, 0.0000, 0.5000)
Al (0.5000, 0.5000, 0.0000)
Ga (0.5000, 0.5000, 0.5000)
Au (0.0000, 0.5000, 0.2439)
Au (0.5000, 0.0000, 0.7561)

Main lines, sorted by position (2θ from 5° to 70°):
20.64°, 4.302 Å, I 1
25.37°, 3.511 Å, I 100
29.38°, 3.040 Å, I 19
32.93°, 2.720 Å, I 1
42.03°, 2.150 Å, I 77
49.73°, 1.833 Å, I 50
52.11°, 1.755 Å, I 5
60.90°, 1.521 Å, I 9
61.04°, 1.518 Å, I 4
67.10°, 1.395 Å, I 20
69.05°, 1.360 Å, I 5
69.16°, 1.358 Å, I 2

=====

[6]
This entry pairs a crystal structure of AlGa3Au2 with its computed powder X-ray diffraction pattern. Radiation: Cu Kα (weighted mean of Kα1 and Kα2). Structure: the PBE geometry in OQMD.
Lines closer than 0.1° are merged.

Crystal structure
Cell: 4.3568 4.3568 6.1497 Å, 90.00 90.00 90.00°
Fractional coordinates of all 6 atoms:
Al (0.0000, 0.0000, 0.0000)
Ga (0.0000, 0.0000, 0.5000)
Ga (0.5000, 0.5000, 0.0000)
Ga (0.5000, 0.5000, 0.5000)
Au (0.0000, 0.5000, 0.7595)
Au (0.5000, 0.0000, 0.2405)

Main lines, sorted by position (2θ from 5° to 70°):
20.38°, 4.357 Å, I 1
25.05°, 3.555 Å, I 95
29.00°, 3.079 Å, I 7
32.51°, 2.754 Å, I 2
35.74°, 2.512 Å, I 1
41.48°, 2.177 Å, I 100
49.07°, 1.857 Å, I 48
51.41°, 1.778 Å, I 2
60.06°, 1.540 Å, I 11
60.19°, 1.537 Å, I 5
66.15°, 1.413 Å, I 19
68.06°, 1.377 Å, I 2

=====

[7]
This entry pairs a crystal structure of GdAlGaAu2 with its computed powder X-ray diffraction pattern. Radiation: Cu Kα (weighted mean of Kα1 and Kα2). Structure: the PBE geometry in OQMD.
Lines closer than 0.1° are merged.

Crystal structure
Cell: 4.3367 4.3367 10.6937 Å, 90.00 90.00 90.00°
Fractional coordinates of all 10 atoms:
Gd (0.2500, 0.2500, 0.2460)
Gd (0.7500, 0.7500, 0.7540)
Al (0.2500, 0.7500, 0.5000)
Al (0.7500, 0.2500, 0.5000)
Ga (0.2500, 0.2500, 0.8623)
Ga (0.7500, 0.7500, 0.1377)
Au (0.2500, 0.2500, 0.6293)
Au (0.2500, 0.7500, 0.0000)
Au (0.7500, 0.2500, 0.0000)
Au (0.7500, 0.7500, 0.3707)

Main lines, sorted by position (2θ from 5° to 70°):
8.27°, 10.694 Å, I 26
24.98°, 3.565 Å, I 20
26.46°, 3.368 Å, I 20
30.32°, 2.948 Å, I 53
32.52°, 2.754 Å, I 70
33.69°, 2.660 Å, I 100
41.65°, 2.168 Å, I 74
44.99°, 2.015 Å, I 32
47.40°, 1.918 Å, I 34
53.81°, 1.704 Å, I 34
60.37°, 1.533 Å, I 25
64.90°, 1.437 Å, I 27

=====

[8]
This entry pairs a crystal structure of LaAlGaAu2 with its computed powder X-ray diffraction pattern. Radiation: Cu Kα (weighted mean of Kα1 and Kα2). Structure: the PBE geometry in OQMD.
Lines closer than 0.1° are merged.

Crystal structure
Cell: 4.4711 4.4711 10.6010 Å, 90.00 90.00 90.00°
Fractional coordinates of all 10 atoms:
La (0.2500, 0.2500, 0.2461)
La (0.7500, 0.7500, 0.7539)
Al (0.2500, 0.7500, 0.5000)
Al (0.7500, 0.2500, 0.5000)
Ga (0.2500, 0.2500, 0.8656)
Ga (0.7500, 0.7500, 0.1344)
Au (0.2500, 0.2500, 0.6251)
Au (0.2500, 0.7500, 0.0000)
Au (0.7500, 0.2500, 0.0000)
Au (0.7500, 0.7500, 0.3749)

Main lines, sorted by position (2θ from 5° to 70°):
8.34°, 10.601 Å, I 26
26.07°, 3.418 Å, I 23
29.48°, 3.030 Å, I 65
32.29°, 2.772 Å, I 78
32.99°, 2.715 Å, I 100
40.34°, 2.236 Å, I 85
44.61°, 2.031 Å, I 41
47.46°, 1.916 Å, I 31
52.59°, 1.740 Å, I 40
58.38°, 1.581 Å, I 29
64.01°, 1.455 Å, I 25
68.71°, 1.366 Å, I 31

=====

[9]
This entry pairs a crystal structure of AlGaAu2S4 with its computed powder X-ray diffraction pattern. Radiation: Cu Kα (weighted mean of Kα1 and Kα2). Structure: the PBE geometry in OQMD.
Lines closer than 0.1° are merged.

Crystal structure
Cell: 5.6525 5.6525 10.7583 Å, 90.00 90.00 90.00°
Fractional coordinates of all 16 atoms:
Al (0.0000, 0.0000, 0.0000)
Al (0.5000, 0.5000, 0.5000)
Ga (0.0000, 0.5000, 0.2500)
Ga (0.5000, 0.0000, 0.7500)
Au (0.0000, 0.0000, 0.5000)
Au (0.0000, 0.5000, 0.7500)
Au (0.5000, 0.0000, 0.2500)
Au (0.5000, 0.5000, 0.0000)
S (0.2162, 0.2477, 0.1238)
S (0.2477, 0.7838, 0.8762)
S (0.2523, 0.7162, 0.3762)
S (0.2838, 0.2523, 0.6238)
S (0.7162, 0.7477, 0.6238)
S (0.7477, 0.2838, 0.3762)
S (0.7523, 0.2162, 0.8762)
S (0.7838, 0.7523, 0.1238)

Main lines, sorted by position (2θ from 5° to 70°):
17.73°, 5.004 Å, I 40
27.81°, 3.208 Å, I 100
29.50°, 3.028 Å, I 16
31.66°, 2.826 Å, I 18
33.31°, 2.690 Å, I 8
36.51°, 2.461 Å, I 19
43.82°, 2.066 Å, I 9
45.38°, 1.998 Å, I 19
46.62°, 1.948 Å, I 36
54.06°, 1.696 Å, I 31
56.21°, 1.637 Å, I 19
57.45°, 1.604 Å, I 8

=====

[10]
This entry pairs a crystal structure of TbAlGaAu2 with its computed powder X-ray diffraction pattern. Radiation: Cu Kα (weighted mean of Kα1 and Kα2). Structure: the PBE geometry in OQMD.
Lines closer than 0.1° are merged.

Crystal structure
Cell: 4.3084 4.3084 10.7876 Å, 90.00 90.00 90.00°
Fractional coordinates of all 10 atoms:
Tb (0.2500, 0.2500, 0.2447)
Tb (0.7500, 0.7500, 0.7553)
Al (0.2500, 0.7500, 0.5000)
Al (0.7500, 0.2500, 0.5000)
Ga (0.2500, 0.2500, 0.8624)
Ga (0.7500, 0.7500, 0.1376)
Au (0.2500, 0.2500, 0.6316)
Au (0.2500, 0.7500, 0.0000)
Au (0.7500, 0.2500, 0.0000)
Au (0.7500, 0.7500, 0.3684)

Main lines, sorted by position (2θ from 5° to 70°):
8.20°, 10.788 Å, I 28
24.76°, 3.596 Å, I 20
26.48°, 3.366 Å, I 20
30.49°, 2.932 Å, I 49
32.43°, 2.761 Å, I 66
33.79°, 2.653 Å, I 100
41.93°, 2.154 Å, I 77
44.89°, 2.019 Å, I 31
47.11°, 1.929 Å, I 36
53.99°, 1.698 Å, I 32
60.80°, 1.524 Å, I 32
64.88°, 1.437 Å, I 27

=====

[11]
This entry pairs a crystal structure of YAlGaAu2 with its computed powder X-ray diffraction pattern. Radiation: Cu Kα (weighted mean of Kα1 and Kα2). Structure: the PBE geometry in OQMD.
Lines closer than 0.1° are merged.

Crystal structure
Cell: 4.2934 4.2934 10.8299 Å, 90.00 90.00 90.00°
Fractional coordinates of all 10 atoms:
Y (0.2500, 0.2500, 0.2455)
Y (0.7500, 0.7500, 0.7545)
Al (0.2500, 0.7500, 0.5000)
Al (0.7500, 0.2500, 0.5000)
Ga (0.2500, 0.2500, 0.8622)
Ga (0.7500, 0.7500, 0.1378)
Au (0.2500, 0.2500, 0.6316)
Au (0.2500, 0.7500, 0.0000)
Au (0.7500, 0.2500, 0.0000)
Au (0.7500, 0.7500, 0.3684)

Main lines, sorted by position (2θ from 5° to 70°):
8.16°, 10.830 Å, I 38
22.27°, 3.991 Å, I 28
24.66°, 3.610 Å, I 30
30.58°, 2.923 Å, I 71
32.40°, 2.763 Å, I 59
33.85°, 2.648 Å, I 100
42.09°, 2.147 Å, I 80
44.86°, 2.021 Å, I 63
46.99°, 1.934 Å, I 35
54.10°, 1.695 Å, I 28
61.04°, 1.518 Å, I 27
64.90°, 1.437 Å, I 27

=====

[12]
This entry pairs a crystal structure of GdTm2Al3PtAu2 with its computed powder X-ray diffraction pattern. Radiation: Cu Kα (weighted mean of Kα1 and Kα2). Structure: the PBE geometry in OQMD.
Lines closer than 0.1° are merged.

Crystal structure
Cell: 3.9245 7.3636 7.3636 Å, 120.17 90.00 90.00°
Fractional coordinates of all 9 atoms:
Gd (0.0000, 0.0000, 0.0000)
Tm (0.0000, 0.1806, 0.5890)
Tm (0.0000, 0.5890, 0.1806)
Al (0.5000, 0.3494, 0.3494)
Al (0.5000, 0.5874, 0.8274)
Al (0.5000, 0.8274, 0.5874)
Pt (0.0000, 0.5840, 0.5840)
Au (0.5000, 0.2599, 0.9196)
Au (0.5000, 0.9196, 0.2599)

Main lines, sorted by position (2θ from 5° to 70°):
24.19°, 3.679 Å, I 55
26.68°, 3.341 Å, I 26
28.00°, 3.186 Å, I 14
33.39°, 2.684 Å, I 71
36.32°, 2.473 Å, I 100
42.49°, 2.128 Å, I 14
42.61°, 2.122 Å, I 28
44.09°, 2.054 Å, I 27
46.27°, 1.962 Å, I 22
52.88°, 1.731 Å, I 14
64.67°, 1.441 Å, I 24
68.44°, 1.371 Å, I 19